1.
For SmMn4P12, a structure optimized by DFT (GGA-PBE) gives the computed powder diffractogram in this record (Cu Ka).
Kinematic intensities with the Lorentz-polarization factor, no thermal factor.

Crystal structure
```
17
Lattice="-3.9688 3.9688 3.9688 3.9688 -3.9688 3.9688 3.9688 3.9688 -3.9688" Properties=species:S:1:pos:R:3 pbc="T T T"
Sm 0.0000 0.0000 0.0000
Mn 1.9844 1.9844 -1.9844
Mn 1.9844 -1.9844 1.9844
Mn -1.9844 1.9844 1.9844
Mn 1.9844 1.9844 1.9844
P 2.8020 0.0000 1.1686
P 5.1356 0.0000 1.1686
P 3.9688 2.8003 -1.1668
P 1.1686 2.8020 0.0000
P 2.8003 -1.1668 3.9688
P 0.0000 1.1686 2.8020
P 3.9688 2.8003 1.1668
P 1.1686 5.1356 0.0000
P 2.8003 1.1668 3.9688
P 0.0000 1.1686 5.1356
P -1.1668 3.9688 2.8003
P 1.1668 3.9688 2.8003
```

The 10 most intense peaks (5 to 70 degrees two-theta), by angle:
2θ/deg, d/Å, I_rel
15.79, 5.613, 45
27.53, 3.241, 26
31.89, 2.806, 83
35.77, 2.510, 100
42.62, 2.121, 73
45.72, 1.984, 12
51.49, 1.775, 12
56.82, 1.620, 57
59.37, 1.557, 47
64.28, 1.449, 11

2.
For SrTiMnP2, a structure optimized by DFT (GGA-PBE) gives the computed powder diffractogram in this record (Cu Ka).
Kinematic intensities with the Lorentz-polarization factor, no thermal factor.

Crystal structure
```
10
Lattice="3.9414 0.0000 0.0000 0.0000 3.9414 0.0000 0.0000 0.0000 12.4920" Properties=species:S:1:pos:R:3 pbc="T T T"
Sr 0.0000 0.0000 0.0000
Sr 1.9707 1.9707 6.2460
Ti 0.0000 1.9707 9.3690
Ti 1.9707 0.0000 3.1230
Mn 0.0000 1.9707 3.1230
Mn 1.9707 0.0000 9.3690
P 0.0000 0.0000 4.5358
P 0.0000 0.0000 7.9562
P 1.9707 1.9707 1.7102
P 1.9707 1.9707 10.7818
```

The 10 most intense peaks (5 to 70 degrees two-theta), by angle:
2θ/deg, d/Å, I_rel
23.67, 3.759, 18
28.58, 3.123, 23
31.25, 2.862, 83
35.26, 2.545, 100
42.86, 2.110, 22
46.06, 1.971, 43
55.07, 1.668, 51
56.71, 1.623, 29
64.72, 1.440, 13
67.18, 1.393, 13